For Pm4NdMg3, a DFT-relaxed cell (PBE, Alexandria) gives the computed powder diffractogram in this record (Cu Kα).
Lines closer than 0.1° are merged.

Peak list (10 most intense, 2θ from 5° to 70°, by angle)
22.28 deg, I = 26, (0 1 2)
23.26 deg, I = 12, (1 0 0)
31.56 deg, I = 26, (0 0 4)
31.88 deg, I = 26, (0 2 0)
32.43 deg, I = 100, (1 1 2)
45.47 deg, I = 19, (0 2 4)
56.76 deg, I = 19, (1 1 6)
57.16 deg, I = 20, (1 3 2)
58.39 deg, I = 9, (2 2 0)
67.90 deg, I = 11, (2 2 4)

Cell and atoms:
```
8
Lattice="3.824 0.000 0.000 0.000 5.614 0.000 0.000 0.000 11.340" Properties=species:S:1:pos:R:3 pbc="T T T"
Pm 0.000 0.000 0.000
Pm 0.000 0.000 5.670
Pm 0.000 2.807 2.669
Pm 0.000 2.807 8.670
Nd 1.912 2.807 5.670
Mg 1.912 0.000 2.818
Mg 1.912 0.000 8.522
Mg 1.912 2.807 0.000
```


For Ca9Zn4P9, a DFT-relaxed cell (PBE, Alexandria) gives the computed powder diffractogram in this record (Cu Kα).
Lines closer than 0.1° are merged.

Peak list (10 most intense, 2θ from 5° to 70°, by angle)
11.59 deg, I = 34, (1 2 0)
29.78 deg, I = 52, (2 3 1)
32.26 deg, I = 70, (3 1 1)
32.38 deg, I = 77, (4 2 0)
34.67 deg, I = 57, (2 5 1)
35.10 deg, I = 100, (1 6 1)
37.71 deg, I = 37, (2 6 1)
41.05 deg, I = 54, (2 7 1)
44.10 deg, I = 65, (0 0 2)
55.76 deg, I = 29, (4 2 2)

Cell and atoms:
```
44
Lattice="11.489 0.000 0.000 0.000 20.446 0.000 0.000 0.000 4.107" Properties=species:S:1:pos:R:3 pbc="T T T"
Ca 0.000 0.000 0.000
Ca 0.466 8.323 2.054
Ca 1.281 4.955 2.054
Ca 1.628 17.727 2.054
Ca 2.732 12.438 0.000
Ca 3.013 2.215 0.000
Ca 4.116 7.505 2.054
Ca 4.463 15.178 2.054
Ca 5.278 18.546 2.054
Ca 5.744 10.223 0.000
Ca 6.211 1.900 2.054
Ca 7.026 5.268 2.054
Ca 7.373 12.941 2.054
Ca 8.476 18.230 0.000
Ca 8.757 8.007 0.000
Ca 9.860 2.718 2.054
Ca 10.207 15.491 2.054
Ca 11.022 12.122 2.054
Zn 1.491 15.543 0.000
Zn 2.458 9.375 0.000
Zn 3.286 19.598 0.000
Zn 4.254 5.320 0.000
Zn 7.235 15.126 0.000
Zn 8.202 0.848 0.000
Zn 9.031 11.071 0.000
Zn 9.998 4.903 0.000
P 0.000 10.223 0.000
P 0.298 3.141 0.000
P 1.583 14.251 2.054
P 2.133 6.931 0.000
P 2.260 0.087 2.054
P 3.484 10.310 2.054
P 3.611 17.154 0.000
P 4.161 4.028 2.054
P 5.446 13.364 0.000
P 5.744 0.000 0.000
P 6.043 7.082 0.000
P 7.327 16.418 2.054
P 7.878 3.292 0.000
P 8.004 10.135 2.054
P 9.229 20.358 2.054
P 9.355 13.515 0.000
P 9.906 6.195 2.054
P 11.190 17.305 0.000
```